Entry 1:
Structure and calculated X-ray diffraction stick pattern of TbH5Ru (the GGA-PBE geometry in Alexandria; λ = 1.5418 Å (Cu Kα)).
Neutral-atom scattering factors, no anomalous dispersion.

Most intense lines, 10° ≤ 2θ ≤ 80°, sorted by position:
2θ = 26.37°, I 75.4; 2θ = 30.91°, I 100.0; 2θ = 36.64°, I 31.1; 2θ = 41.07°, I 92.5; 2θ = 45.70°, I 35.2; 2θ = 58.30°, I 16.4; 2θ = 62.43°, I 13.4; 2θ = 63.79°, I 25.0; 2θ = 68.97°, I 19.7; 2θ = 70.86°, I 18.6

Atomic structure:
Lattice parameters (Å, degrees): 3.5825 4.9059 6.7593 90.00 90.00 90.00
Positions (direct):
1 Tb 0.0000 0.0000 0.0000
2 Tb 0.5000 0.5000 0.5000
3 H 0.0000 0.2578 0.3330
4 H 0.0000 0.2578 0.6670
5 H 0.0000 0.5000 0.0000
6 H 0.0000 0.7422 0.3330
7 H 0.0000 0.7422 0.6670
8 H 0.5000 0.0000 0.5000
9 H 0.5000 0.2422 0.1670
10 H 0.5000 0.2422 0.8330
11 H 0.5000 0.7578 0.1670
12 H 0.5000 0.7578 0.8330
13 Ru 0.0000 0.0000 0.5000
14 Ru 0.5000 0.5000 0.0000

***

Entry 2:
Structure and calculated X-ray diffraction stick pattern of TbH10Ru3 (the GGA-PBE geometry in Alexandria; λ = 1.5418 Å (Cu Kα)).
Neutral-atom scattering factors, no anomalous dispersion.

Most intense lines, 10° ≤ 2θ ≤ 80°, sorted by position:
2θ = 19.15°, I 3.4; 2θ = 27.21°, I 3.3; 2θ = 33.49°, I 100.0; 2θ = 38.86°, I 49.0; 2θ = 43.67°, I 2.4; 2θ = 48.09°, I 1.5; 2θ = 51.21°, I 1.3; 2θ = 56.13°, I 33.6; 2θ = 66.96°, I 38.6; 2θ = 70.37°, I 11.0

Atomic structure:
Lattice parameters (Å, degrees): 6.5547 6.5547 6.5547 60.00 60.00 60.00
Positions (direct):
1 Tb 0.2500 0.2500 0.2500
2 Tb 0.7500 0.7500 0.7500
3 H 0.0000 0.0000 0.3342
4 H 0.0000 0.0000 0.6658
5 H 0.0000 0.3342 0.0000
6 H 0.0000 0.3342 0.6658
7 H 0.0000 0.6658 0.0000
8 H 0.0000 0.6658 0.3342
9 H 0.1789 0.6070 0.6070
10 H 0.3342 0.0000 0.0000
11 H 0.3342 0.0000 0.6658
12 H 0.3342 0.6658 0.0000
13 H 0.3930 0.3930 0.3930
14 H 0.3930 0.3930 0.8211
15 H 0.3930 0.8211 0.3930
16 H 0.6070 0.1789 0.6070
17 H 0.6070 0.6070 0.1789
18 H 0.6070 0.6070 0.6070
19 H 0.6658 0.0000 0.0000
20 H 0.6658 0.0000 0.3342
21 H 0.6658 0.3342 0.0000
22 H 0.8211 0.3930 0.3930
23 Ru 0.2601 0.2601 0.7399
24 Ru 0.2601 0.7399 0.2601
25 Ru 0.2601 0.7399 0.7399
26 Ru 0.7399 0.2601 0.2601
27 Ru 0.7399 0.2601 0.7399
28 Ru 0.7399 0.7399 0.2601

***

Entry 3:
Structure and calculated X-ray diffraction stick pattern of ThH11Ru5 (the GGA-PBE geometry in Alexandria; λ = 1.5418 Å (Cu Kα)).
Neutral-atom scattering factors, no anomalous dispersion.

Most intense lines, 10° ≤ 2θ ≤ 80°, sorted by position:
2θ = 16.71°, I 71.6; 2θ = 18.79°, I 40.6; 2θ = 29.62°, I 82.4; 2θ = 33.79°, I 89.6; 2θ = 34.10°, I 100.0; 2θ = 36.41°, I 75.7; 2θ = 37.25°, I 74.3; 2θ = 39.20°, I 57.8; 2θ = 44.81°, I 59.7; 2θ = 47.07°, I 39.9

Atomic structure:
Lattice parameters (Å, degrees): 5.5032 5.5032 5.0615 104.64 104.64 90.85
Positions (direct):
1 Th 0.0000 0.0000 0.0000
2 H 0.0000 0.0000 0.5000
3 H 0.1746 0.6477 0.6496
4 H 0.2112 0.4447 0.1027
5 H 0.2998 0.2998 0.6501
6 H 0.3523 0.8254 0.3504
7 H 0.4447 0.2112 0.1027
8 H 0.5553 0.7888 0.8973
9 H 0.6477 0.1746 0.6496
10 H 0.7002 0.7002 0.3499
11 H 0.7888 0.5553 0.8973
12 H 0.8254 0.3523 0.3504
13 Ru 0.0161 0.6384 0.2870
14 Ru 0.3616 0.9839 0.7130
15 Ru 0.5000 0.5000 0.0000
16 Ru 0.6384 0.0161 0.2870
17 Ru 0.9839 0.3616 0.7130

***

Entry 4:
Structure and calculated X-ray diffraction stick pattern of ThH8Ru2 (the GGA-PBE geometry in Alexandria; λ = 1.5418 Å (Cu Kα)).
Neutral-atom scattering factors, no anomalous dispersion.

Most intense lines, 10° ≤ 2θ ≤ 80°, sorted by position:
2θ = 19.76°, I 20.6; 2θ = 31.06°, I 50.7; 2θ = 31.72°, I 100.0; 2θ = 34.30°, I 35.6; 2θ = 35.14°, I 65.0; 2θ = 46.92°, I 17.6; 2θ = 47.87°, I 16.8; 2θ = 48.27°, I 14.4; 2θ = 60.18°, I 15.2; 2θ = 60.91°, I 15.9

Atomic structure:
Lattice parameters (Å, degrees): 5.1094 5.1094 3.6859 90.72 90.72 118.43
Positions (direct):
1 Th 0.0000 0.0000 0.0000
2 H 0.0248 0.3158 0.5105
3 H 0.3027 0.6973 0.0000
4 H 0.3158 0.0248 0.5105
5 H 0.4553 0.4553 0.2506
6 H 0.5447 0.5447 0.7494
7 H 0.6842 0.9752 0.4895
8 H 0.6973 0.3027 0.0000
9 H 0.9752 0.6842 0.4895
10 Ru 0.3295 0.6705 0.5000
11 Ru 0.6705 0.3295 0.5000

***

Entry 5:
Structure and calculated X-ray diffraction stick pattern of ThH10Ru3 (the GGA-PBE geometry in Alexandria; λ = 1.5418 Å (Cu Kα)).
Neutral-atom scattering factors, no anomalous dispersion.

Most intense lines, 10° ≤ 2θ ≤ 80°, sorted by position:
2θ = 18.84°, I 13.2; 2θ = 26.77°, I 12.8; 2θ = 32.94°, I 100.0; 2θ = 38.22°, I 49.3; 2θ = 42.94°, I 8.6; 2θ = 47.27°, I 5.8; 2θ = 55.15°, I 34.1; 2θ = 58.82°, I 4.3; 2θ = 65.76°, I 39.5; 2θ = 69.08°, I 11.2

Atomic structure:
Lattice parameters (Å, degrees): 6.6610 6.6610 6.6610 60.00 60.00 60.00
Positions (direct):
1 Th 0.2500 0.2500 0.2500
2 Th 0.7500 0.7500 0.7500
3 H 0.0000 0.0000 0.3305
4 H 0.0000 0.0000 0.6695
5 H 0.0000 0.3305 0.0000
6 H 0.0000 0.3305 0.6695
7 H 0.0000 0.6695 0.0000
8 H 0.0000 0.6695 0.3305
9 H 0.1922 0.6026 0.6026
10 H 0.3305 0.0000 0.0000
11 H 0.3305 0.0000 0.6695
12 H 0.3305 0.6695 0.0000
13 H 0.3974 0.3974 0.3974
14 H 0.3974 0.3974 0.8078
15 H 0.3974 0.8078 0.3974
16 H 0.6026 0.1922 0.6026
17 H 0.6026 0.6026 0.1922
18 H 0.6026 0.6026 0.6026
19 H 0.6695 0.0000 0.0000
20 H 0.6695 0.0000 0.3305
21 H 0.6695 0.3305 0.0000
22 H 0.8078 0.3974 0.3974
23 Ru 0.2628 0.2628 0.7372
24 Ru 0.2628 0.7372 0.2628
25 Ru 0.2628 0.7372 0.7372
26 Ru 0.7372 0.2628 0.2628
27 Ru 0.7372 0.2628 0.7372
28 Ru 0.7372 0.7372 0.2628

***

Entry 6:
Structure and calculated X-ray diffraction stick pattern of ThH9Ru2 (the GGA-PBE geometry in Alexandria; λ = 1.5418 Å (Cu Kα)).
Neutral-atom scattering factors, no anomalous dispersion.

Most intense lines, 10° ≤ 2θ ≤ 80°, sorted by position:
2θ = 21.24°, I 39.8; 2θ = 29.58°, I 100.0; 2θ = 38.35°, I 18.8; 2θ = 41.38°, I 12.2; 2θ = 42.79°, I 37.6; 2θ = 43.26°, I 24.6; 2θ = 48.67°, I 10.1; 2θ = 49.58°, I 18.6; 2θ = 54.96°, I 9.2; 2θ = 62.48°, I 12.3

Atomic structure:
Lattice parameters (Å, degrees): 6.4450 6.4450 6.4450 99.06 99.06 133.24
Positions (direct):
1 Th 0.3750 0.6250 0.7500
2 Th 0.6250 0.3750 0.2500
3 H 0.1250 0.8750 0.2500
4 H 0.1772 0.2566 0.3538
5 H 0.1766 0.5973 0.3538
6 H 0.1766 0.8228 0.5794
7 H 0.1772 0.8234 0.9206
8 H 0.2566 0.1772 0.8538
9 H 0.2566 0.4027 0.0794
10 H 0.4027 0.2566 0.5794
11 H 0.4027 0.8234 0.1462
12 H 0.5973 0.1766 0.8538
13 H 0.5973 0.7434 0.4206
14 H 0.7434 0.5973 0.9206
15 H 0.7434 0.8228 0.1462
16 H 0.8228 0.1766 0.0794
17 H 0.8234 0.1772 0.4206
18 H 0.8234 0.4027 0.6462
19 H 0.8228 0.7434 0.6462
20 H 0.8750 0.1250 0.7500
21 Ru 0.0000 0.0000 0.0000
22 Ru 0.0000 0.0000 0.5000
23 Ru 0.0000 0.5000 0.0000
24 Ru 0.5000 0.0000 0.5000

***

Entry 7:
Structure and calculated X-ray diffraction stick pattern of TiHRu3 (the GGA-PBE geometry in Alexandria; λ = 1.5418 Å (Cu Kα)).
Neutral-atom scattering factors, no anomalous dispersion.

Most intense lines, 10° ≤ 2θ ≤ 80°, sorted by position:
2θ = 22.70°, I 3.0; 2θ = 22.85°, I 5.3; 2θ = 32.43°, I 4.5; 2θ = 32.53°, I 2.1; 2θ = 40.04°, I 100.0; 2θ = 46.36°, I 16.2; 2θ = 46.67°, I 32.4; 2θ = 52.52°, I 1.8; 2θ = 67.90°, I 19.9; 2θ = 68.14°, I 10.0

Atomic structure:
Lattice parameters (Å, degrees): 5.5204 5.5204 5.5041 119.87 119.87 90.39
Positions (direct):
1 Ti 0.2368 0.7632 0.0000
2 Ti 0.7632 0.2368 0.0000
3 H 0.5000 0.5000 0.0000
4 H 0.5000 0.5000 0.5000
5 Ru 0.2450 0.7550 0.5000
6 Ru 0.2462 0.2462 0.4981
7 Ru 0.2459 0.2459 0.9937
8 Ru 0.7541 0.7541 0.0063
9 Ru 0.7538 0.7538 0.5019
10 Ru 0.7550 0.2450 0.5000

***

Entry 8:
Structure and calculated X-ray diffraction stick pattern of TiH4Ru3 (the GGA-PBE geometry in Alexandria; λ = 1.5418 Å (Cu Kα)).
Neutral-atom scattering factors, no anomalous dispersion.

Most intense lines, 10° ≤ 2θ ≤ 80°, sorted by position:
2θ = 22.18°, I 8.0; 2θ = 31.57°, I 6.7; 2θ = 38.92°, I 100.0; 2θ = 45.24°, I 51.0; 2θ = 50.94°, I 3.7; 2θ = 56.21°, I 2.8; 2θ = 65.91°, I 31.6; 2θ = 70.48°, I 1.8; 2θ = 74.92°, I 1.2; 2θ = 79.27°, I 35.9

Atomic structure:
Lattice parameters (Å, degrees): 4.0084 4.0084 4.0084 90.00 90.00 90.00
Positions (direct):
1 Ti 0.0000 0.0000 0.0000
2 H 0.0000 0.0000 0.5000
3 H 0.0000 0.5000 0.0000
4 H 0.5000 0.0000 0.0000
5 H 0.5000 0.5000 0.5000
6 Ru 0.0000 0.5000 0.5000
7 Ru 0.5000 0.0000 0.5000
8 Ru 0.5000 0.5000 0.0000

***

Entry 9:
Structure and calculated X-ray diffraction stick pattern of TlH2Ru2 (the GGA-PBE geometry in Alexandria; λ = 1.5418 Å (Cu Kα)).
Neutral-atom scattering factors, no anomalous dispersion.

Most intense lines, 10° ≤ 2θ ≤ 80°, sorted by position:
2θ = 25.62°, I 73.1; 2θ = 38.18°, I 27.0; 2θ = 39.25°, I 100.0; 2θ = 39.75°, I 24.4; 2θ = 48.36°, I 28.0; 2θ = 55.52°, I 18.1; 2θ = 63.22°, I 12.5; 2θ = 64.32°, I 23.5; 2θ = 70.79°, I 8.9; 2θ = 71.82°, I 17.0

Atomic structure:
Lattice parameters (Å, degrees): 3.7644 3.7644 9.0696 90.00 90.00 90.00
Positions (direct):
1 Tl 0.0000 0.0000 0.0000
2 Tl 0.5000 0.5000 0.5000
3 H 0.0000 0.0000 0.3033
4 H 0.0000 0.0000 0.6967
5 H 0.5000 0.5000 0.1967
6 H 0.5000 0.5000 0.8033
7 Ru 0.0000 0.5000 0.2500
8 Ru 0.0000 0.5000 0.7500
9 Ru 0.5000 0.0000 0.2500
10 Ru 0.5000 0.0000 0.7500

***

Entry 10:
Structure and calculated X-ray diffraction stick pattern of Tl2HRu (the GGA-PBE geometry in Alexandria; λ = 1.5418 Å (Cu Kα)).
Neutral-atom scattering factors, no anomalous dispersion.

Most intense lines, 10° ≤ 2θ ≤ 80°, sorted by position:
2θ = 26.81°, I 35.5; 2θ = 33.36°, I 61.3; 2θ = 34.42°, I 100.0; 2θ = 38.28°, I 38.5; 2θ = 43.30°, I 23.6; 2θ = 51.67°, I 14.2; 2θ = 52.42°, I 33.3; 2θ = 65.97°, I 20.7; 2θ = 67.81°, I 16.4; 2θ = 72.68°, I 17.8

Atomic structure:
Lattice parameters (Å, degrees): 6.6498 6.6498 6.2606 90.00 90.00 90.00
Positions (direct):
1 Tl 0.1880 0.2500 0.1250
2 Tl 0.2500 0.6880 0.3750
3 Tl 0.2500 0.8120 0.8750
4 Tl 0.3120 0.2500 0.6250
5 Tl 0.6880 0.7500 0.6250
6 Tl 0.7500 0.1880 0.8750
7 Tl 0.7500 0.3120 0.3750
8 Tl 0.8120 0.7500 0.1250
9 H 0.0000 0.0000 0.0000
10 H 0.0000 0.5000 0.2500
11 H 0.5000 0.0000 0.7500
12 H 0.5000 0.5000 0.5000
13 Ru 0.0000 0.0000 0.5000
14 Ru 0.0000 0.5000 0.7500
15 Ru 0.5000 0.0000 0.2500
16 Ru 0.5000 0.5000 0.0000

***

Entry 11:
Structure and calculated X-ray diffraction stick pattern of TmHRu (the GGA-PBE geometry in Alexandria; λ = 1.5418 Å (Cu Kα)).
Neutral-atom scattering factors, no anomalous dispersion.

Most intense lines, 10° ≤ 2θ ≤ 80°, sorted by position:
2θ = 20.74°, I 4.8; 2θ = 30.72°, I 31.6; 2θ = 37.36°, I 100.0; 2θ = 42.21°, I 15.6; 2θ = 53.10°, I 13.8; 2θ = 54.63°, I 21.9; 2θ = 68.06°, I 17.1; 2θ = 71.36°, I 19.5; 2θ = 73.96°, I 13.5; 2θ = 79.67°, I 4.3

Atomic structure:
Lattice parameters (Å, degrees): 3.3602 3.3602 4.2823 90.00 90.00 120.00
Positions (direct):
1 Tm 0.0000 0.0000 0.0000
2 H 0.3333 0.6667 0.5000
3 Ru 0.6667 0.3333 0.5000

***

Entry 12:
Structure and calculated X-ray diffraction stick pattern of UH8Ru2 (the GGA-PBE geometry in Alexandria; λ = 1.5418 Å (Cu Kα)).
Neutral-atom scattering factors, no anomalous dispersion.

Most intense lines, 10° ≤ 2θ ≤ 80°, sorted by position:
2θ = 19.74°, I 36.4; 2θ = 31.13°, I 80.4; 2θ = 32.60°, I 81.3; 2θ = 32.82°, I 69.3; 2θ = 33.96°, I 58.7; 2θ = 35.69°, I 100.0; 2θ = 46.57°, I 29.9; 2θ = 48.98°, I 26.4; 2θ = 49.55°, I 20.2; 2θ = 61.90°, I 21.0

Atomic structure:
Lattice parameters (Å, degrees): 5.0412 5.0412 3.5810 91.85 91.85 116.71
Positions (direct):
1 U 0.0000 0.0000 0.0000
2 H 0.0312 0.3151 0.5256
3 H 0.2917 0.7083 0.0000
4 H 0.3151 0.0312 0.5256
5 H 0.4224 0.4224 0.2438
6 H 0.5776 0.5776 0.7562
7 H 0.6849 0.9688 0.4744
8 H 0.7083 0.2917 0.0000
9 H 0.9688 0.6849 0.4744
10 Ru 0.3270 0.6730 0.5000
11 Ru 0.6730 0.3270 0.5000